Diffraction record for Co3TeO8. The X-ray powder pattern is computed, not measured: it uses a cell relaxed with GGA+U and copper Kα.
Neutral-atom scattering factors, no anomalous dispersion.

The 10 most intense peaks (2θ from 15° to 90°), in order of rising 2θ:
2θ/deg, d/Å, I_rel, (hkl)
20.52, 4.329, 100, 1 0 1
26.76, 3.332, 30, 1 0 2
34.90, 2.571, 35, 1 0 3
37.33, 2.409, 44, 1 1 2
37.82, 2.379, 33, 2 0 1
41.73, 2.164, 14, 2 0 2
47.66, 1.908, 27, 2 0 3
58.21, 1.585, 18, 2 1 3
63.85, 1.458, 24, 2 0 5
65.58, 1.423, 22, 2 2 0

Structural model:
```
data_Co3TeO8
_symmetry_space_group_name_H-M 'P 63 m c'
_symmetry_Int_Tables_number 186
_symmetry_space_group_name_Hall 'P 6c -2c'
_cell_length_a 5.6938
_cell_length_b 5.6938
_cell_length_c 9.0382
_cell_angle_alpha 90.00
_cell_angle_beta 90.00
_cell_angle_gamma 120.00
loop_
_atom_site_label
_atom_site_type_symbol
_atom_site_fract_x
_atom_site_fract_y
_atom_site_fract_z
_atom_site_occupancy
Co1 Co 0.1705 0.3411 0.0000 1
Te1 Te 0.3333 0.6667 0.2767 1
O1 O 0.0000 0.0000 0.0864 1
O2 O 0.0324 0.5162 0.1219 1
O3 O 0.1608 0.3216 0.3791 1
O4 O 0.3333 0.6667 0.8968 1
```